Entry 1:
Structure and calculated PXRD pattern of NdP2O10 (a DFT-relaxed cell (GGA-PBE, Alexandria); CuKα).
Intensities are scaled so that the largest is 100.

Unit cell a=10.9306 b=13.0772 c=6.8175 alpha=90.00 beta=90.00 gamma=90.00
Fractional positions:
Nd 0.2420 0.2500 0.2500
Nd 0.2580 0.7500 0.2500
Nd 0.7420 0.2500 0.7500
Nd 0.7580 0.7500 0.7500
P 0.0045 0.5907 0.0117
P 0.0045 0.9093 0.4883
P 0.4955 0.0907 0.4883
P 0.4955 0.4093 0.0117
P 0.5045 0.5907 0.9883
P 0.5045 0.9093 0.5117
P 0.9955 0.0907 0.5117
P 0.9955 0.4093 0.9883
O 0.0603 0.5027 0.8632
O 0.0603 0.9973 0.6368
O 0.0876 0.1576 0.4118
O 0.0876 0.3424 0.0882
O 0.1025 0.6430 0.1276
O 0.1025 0.8570 0.3724
O 0.2278 0.0996 0.0186
O 0.2278 0.4004 0.4814
O 0.2338 0.6731 0.5917
O 0.2338 0.8269 0.9083
O 0.2662 0.1731 0.9083
O 0.2662 0.3269 0.5917
O 0.2722 0.5996 0.4814
O 0.2722 0.9004 0.0186
O 0.3975 0.1430 0.3724
O 0.3975 0.3570 0.1276
O 0.4124 0.6576 0.0882
O 0.4124 0.8424 0.4118
O 0.4397 0.0027 0.6368
O 0.4397 0.4973 0.8632
O 0.5603 0.5027 0.1368
O 0.5603 0.9973 0.3632
O 0.5876 0.1576 0.5882
O 0.5876 0.3424 0.9118
O 0.6025 0.6430 0.8724
O 0.6025 0.8570 0.6276
O 0.7278 0.0996 0.9814
O 0.7278 0.4004 0.5186
O 0.7338 0.6731 0.4083
O 0.7338 0.8269 0.0917
O 0.7662 0.1731 0.0917
O 0.7662 0.3269 0.4083
O 0.7722 0.5996 0.5186
O 0.7722 0.9004 0.9814
O 0.8975 0.1430 0.6276
O 0.8975 0.3570 0.8724
O 0.9124 0.6576 0.9118
O 0.9124 0.8424 0.5882
O 0.9397 0.0027 0.3632
O 0.9397 0.4973 0.1368

Top 10 peaks for 15° ≤ 2θ ≤ 90°, by intensity:
| Position (°2θ) | d_spacing | I/Imax |
| --- | --- | --- |
| 20.50 | 4.332 | 100 |
| 15.32 | 5.785 | 91 |
| 21.19 | 4.193 | 82 |
| 21.92 | 4.054 | 62 |
| 30.95 | 2.889 | 36 |
| 39.31 | 2.292 | 33 |
| 38.14 | 2.360 | 24 |
| 29.55 | 3.023 | 24 |
| 44.72 | 2.027 | 22 |
| 31.43 | 2.846 | 21 |

---

Entry 2:
Structure and calculated PXRD pattern of NdP2PbO8 (a DFT-relaxed cell (GGA-PBE, Alexandria); CuKα).
Intensities are scaled so that the largest is 100.

Unit cell a=5.4911 b=5.4911 c=7.5423 alpha=90.00 beta=90.00 gamma=120.00
Fractional positions:
Nd 0.0000 0.0000 0.0000
P 0.3333 0.6667 0.2822
P 0.6667 0.3333 0.7178
Pb 0.0000 0.0000 0.5000
O 0.1797 0.3594 0.2131
O 0.1797 0.8203 0.2131
O 0.3333 0.6667 0.4873
O 0.3594 0.1797 0.7869
O 0.6406 0.8203 0.2131
O 0.6667 0.3333 0.5127
O 0.8203 0.1797 0.7869
O 0.8203 0.6406 0.7869

Top 10 peaks for 15° ≤ 2θ ≤ 90°, by intensity:
| Position (°2θ) | d_spacing | I/Imax |
| --- | --- | --- |
| 18.66 | 4.755 | 100 |
| 30.25 | 2.955 | 84 |
| 32.61 | 2.746 | 47 |
| 40.64 | 2.220 | 41 |
| 45.08 | 2.011 | 38 |
| 56.74 | 1.623 | 27 |
| 50.80 | 1.797 | 18 |
| 59.47 | 1.554 | 16 |
| 52.18 | 1.753 | 15 |
| 22.10 | 4.023 | 15 |

---

Entry 3:
Structure and calculated PXRD pattern of Nd6P3S2O (a DFT-relaxed cell (GGA-PBE, Alexandria); CuKα).
Intensities are scaled so that the largest is 100.

Unit cell a=9.0273 b=9.0273 c=8.0951 alpha=102.58 beta=102.58 gamma=26.01
Fractional positions:
Nd 0.0025 0.0025 0.2633
Nd 0.3347 0.3347 0.9120
Nd 0.3423 0.3423 0.4248
Nd 0.6577 0.6577 0.5752
Nd 0.6653 0.6653 0.0880
Nd 0.9975 0.9975 0.7367
P 0.1693 0.1693 0.3365
P 0.5000 0.5000 0.0000
P 0.8307 0.8307 0.6635
S 0.1651 0.1651 0.8321
S 0.8349 0.8349 0.1679
O 0.5000 0.5000 0.5000

Top 10 peaks for 15° ≤ 2θ ≤ 90°, by intensity:
| Position (°2θ) | d_spacing | I/Imax |
| --- | --- | --- |
| 31.19 | 2.868 | 100 |
| 26.92 | 3.312 | 93 |
| 44.64 | 2.030 | 53 |
| 31.30 | 2.858 | 48 |
| 44.89 | 2.019 | 35 |
| 27.08 | 3.293 | 31 |
| 55.48 | 1.656 | 27 |
| 52.89 | 1.731 | 20 |
| 53.11 | 1.724 | 19 |
| 44.78 | 2.024 | 18 |

---

Entry 4:
Structure and calculated PXRD pattern of NdSmP2O8 (a DFT-relaxed cell (GGA-PBE, Alexandria); CuKα).
Intensities are scaled so that the largest is 100.

Unit cell a=5.3056 b=5.3056 c=7.2773 alpha=90.00 beta=90.00 gamma=120.00
Fractional positions:
Nd 0.0000 0.0000 0.0000
Sm 0.0000 0.0000 0.5000
P 0.3333 0.6667 0.8024
P 0.6667 0.3333 0.1976
O 0.1744 0.3488 0.7284
O 0.1744 0.8256 0.7284
O 0.3333 0.6667 0.0123
O 0.3488 0.1744 0.2716
O 0.6512 0.8256 0.7284
O 0.6667 0.3333 0.9877
O 0.8256 0.1744 0.2716
O 0.8256 0.6512 0.2716

Top 10 peaks for 15° ≤ 2θ ≤ 90°, by intensity:
| Position (°2θ) | d_spacing | I/Imax |
| --- | --- | --- |
| 19.32 | 4.595 | 100 |
| 31.36 | 2.853 | 79 |
| 33.79 | 2.653 | 49 |
| 42.15 | 2.144 | 41 |
| 46.76 | 1.943 | 37 |
| 58.93 | 1.567 | 25 |
| 54.23 | 1.691 | 18 |
| 22.89 | 3.885 | 18 |
| 52.71 | 1.737 | 16 |
| 75.72 | 1.256 | 14 |

---

Entry 5:
Structure and calculated PXRD pattern of NdPaTi2O8 (a DFT-relaxed cell (GGA-PBE, Alexandria); CuKα).
Intensities are scaled so that the largest is 100.

Unit cell a=6.7273 b=6.7273 c=6.7273 alpha=134.46 beta=134.46 gamma=66.37
Fractional positions:
Nd 0.0000 0.0000 0.0000
Pa 0.2500 0.7500 0.5000
Ti 0.5000 0.5000 0.0000
Ti 0.7500 0.2500 0.5000
O 0.0042 0.0676 0.4155
O 0.2545 0.6674 0.0995
O 0.3326 0.4321 0.5871
O 0.4113 0.9958 0.0634
O 0.5679 0.1550 0.9005
O 0.6521 0.5887 0.5845
O 0.8450 0.7455 0.4129
O 0.9324 0.3479 0.9366

Top 10 peaks for 15° ≤ 2θ ≤ 90°, by intensity:
| Position (°2θ) | d_spacing | I/Imax |
| --- | --- | --- |
| 28.97 | 3.082 | 100 |
| 18.77 | 4.727 | 50 |
| 47.57 | 1.911 | 31 |
| 58.38 | 1.581 | 28 |
| 34.44 | 2.604 | 20 |
| 39.51 | 2.281 | 19 |
| 77.03 | 1.238 | 19 |
| 54.91 | 1.672 | 17 |
| 31.79 | 2.815 | 14 |
| 49.51 | 1.841 | 14 |

---

Entry 6:
Structure and calculated PXRD pattern of Nd3PbO2 (a DFT-relaxed cell (GGA-PBE, Alexandria); CuKα).
Intensities are scaled so that the largest is 100.

Unit cell a=4.7543 b=4.7543 c=12.0152 alpha=90.00 beta=90.00 gamma=90.00
Fractional positions:
Nd 0.0000 0.0000 0.0000
Nd 0.0000 0.5000 0.2500
Nd 0.0000 0.5000 0.7500
Nd 0.5000 0.0000 0.2500
Nd 0.5000 0.0000 0.7500
Nd 0.5000 0.5000 0.5000
Pb 0.0000 0.0000 0.5000
Pb 0.5000 0.5000 0.0000
O 0.0000 0.0000 0.2001
O 0.0000 0.0000 0.7999
O 0.5000 0.5000 0.2999
O 0.5000 0.5000 0.7001

Top 10 peaks for 15° ≤ 2θ ≤ 90°, by intensity:
| Position (°2θ) | d_spacing | I/Imax |
| --- | --- | --- |
| 30.47 | 2.934 | 100 |
| 37.85 | 2.377 | 34 |
| 48.86 | 1.864 | 31 |
| 29.74 | 3.004 | 30 |
| 63.82 | 1.458 | 25 |
| 53.24 | 1.720 | 24 |
| 79.76 | 1.202 | 15 |
| 63.41 | 1.467 | 14 |
| 54.60 | 1.681 | 12 |
| 74.77 | 1.270 | 8 |

---

Entry 7:
Structure and calculated PXRD pattern of Sr2Nd4Pb3O2 (a DFT-relaxed cell (GGA-PBE, Alexandria); CuKα).
Intensities are scaled so that the largest is 100.

Unit cell a=13.6599 b=13.6599 c=13.6599 alpha=159.10 beta=159.10 gamma=29.72
Fractional positions:
Sr 0.1967 0.1967 0.0000
Sr 0.8033 0.8033 0.0000
Nd 0.0848 0.5848 0.5000
Nd 0.4152 0.9152 0.5000
Nd 0.5848 0.0848 0.5000
Nd 0.9152 0.4152 0.5000
Pb 0.3293 0.3293 0.0000
Pb 0.5000 0.5000 0.0000
Pb 0.6707 0.6707 0.0000
O 0.0957 0.0957 0.0000
O 0.9043 0.9043 0.0000

Top 10 peaks for 15° ≤ 2θ ≤ 90°, by intensity:
| Position (°2θ) | d_spacing | I/Imax |
| --- | --- | --- |
| 32.67 | 2.741 | 100 |
| 36.27 | 2.477 | 49 |
| 62.98 | 1.476 | 31 |
| 18.22 | 4.869 | 26 |
| 26.32 | 3.386 | 21 |
| 29.77 | 3.001 | 20 |
| 52.22 | 1.752 | 17 |
| 55.89 | 1.645 | 17 |
| 24.64 | 3.613 | 13 |
| 28.85 | 3.094 | 12 |